Starting from DFT lattice parameters and positions (PBE), the powder X-ray diffraction pattern of PrMgZn was calculated for copper Kα.
Neutral-atom scattering factors, no anomalous dispersion.

Top 10 peaks for 2θ = 15–90°, sorted by position:
(1 0 2), 29.56 deg, I = 100
(0 0 4), 30.29 deg, I = 15
(1 0 3), 34.19 deg, I = 80
(1 1 0), 36.10 deg, I = 65
(1 1 4), 47.82 deg, I = 16
(2 0 0), 51.98 deg, I = 23
(1 1 5), 53.51 deg, I = 18
(2 1 2), 60.93 deg, I = 37
(2 1 3), 63.70 deg, I = 25
(3 0 2), 84.15 deg, I = 14

Structure:
abc: 3.5184 3.5184 11.8042
angles: 90.00 90.00 90.00
Element x y z (fractional)
Pr1 0.0000 0.0000 0.0000
Pr2 0.5000 0.5000 0.2470
Mg1 0.0000 0.0000 0.7038
Mg2 0.5000 0.5000 0.5441
Zn1 0.0000 0.0000 0.4210
Zn2 0.5000 0.5000 0.8262

***

Starting from DFT lattice parameters and positions (PBE), the powder X-ray diffraction pattern of Pr2MgZn6 was calculated for copper Kα.
Neutral-atom scattering factors, no anomalous dispersion.

Top 10 peaks for 2θ = 15–90°, sorted by position:
(1 0 1), 22.74 deg, I = 17
(1 1 1), 33.66 deg, I = 40
(0 1 2), 34.53 deg, I = 74
(2 0 0), 34.89 deg, I = 27
(2 0 1), 38.05 deg, I = 100
(2 1 1), 49.26 deg, I = 15
(1 1 3), 55.25 deg, I = 19
(1 2 2), 56.34 deg, I = 23
(2 2 0), 62.56 deg, I = 22
(1 2 3), 67.03 deg, I = 14

Structure:
abc: 5.9387 5.9387 6.0197
angles: 90.00 90.00 120.00
Element x y z (fractional)
Pr1 0.3333 0.6667 0.1510
Pr2 0.6667 0.3333 0.8490
Mg1 0.0000 0.0000 0.0000
Zn1 0.1799 0.3598 0.6531
Zn2 0.1799 0.8201 0.6531
Zn3 0.3598 0.1799 0.3469
Zn4 0.6402 0.8201 0.6531
Zn5 0.8201 0.1799 0.3469
Zn6 0.8201 0.6402 0.3469